Record 1
LiGe2I4: simulated powder XRD pattern (Cu Kα, 1.54184 Å), based on a GGA-PBE-relaxed structure.

Crystal structure
a = 8.0930 Å, b = 8.0930 Å, c = 8.4384 Å
α = 90.00°, β = 90.00°, γ = 90.00°
Space group I4/m (No. 87)
Asymmetric unit:
Li  0.0000  0.0000  0.0000 [2 per cell]
Ge  0.0000  0.5000  0.2500 [4 per cell]
I  0.1823  0.3081  0.0000 [8 per cell]

Largest 10 diffraction maxima, by angle, 2θ = 10–80°:
(1 1 0), 2θ = 15.48°, d 5.723, I 413
(0 0 2), 2θ = 21.06°, d 4.219, I 268
(2 1 1), 2θ = 26.80°, d 3.326, I 1000
(2 0 2), 2θ = 30.61°, d 2.920, I 812
(2 2 0), 2θ = 31.26°, d 2.861, I 251
(2 1 3), 2θ = 40.62°, d 2.221, I 324
(1 3 2), 2θ = 41.26°, d 2.188, I 324
(4 1 1), 2θ = 47.56°, d 1.912, I 400
(4 1 3), 2θ = 57.23°, d 1.610, I 229
(3 5 2), 2θ = 71.57°, d 1.318, I 185

Record 2
La5Tl2Sb2: simulated powder XRD pattern (Cu Kα, 1.54184 Å), based on a GGA-PBE-relaxed structure.

Crystal structure
a = 16.4293 Å, b = 8.5396 Å, c = 8.6385 Å
α = 90.00°, β = 90.00°, γ = 90.00°
Space group Cmce (No. 64)
Asymmetric unit:
La  0.0000  0.0000  0.0000 [4 per cell]
La  0.1353  0.1722  0.3343 [16 per cell]
Tl  0.2062  0.0000  0.0000 [8 per cell]
Sb  0.0000  0.1358  0.6386 [8 per cell]

Largest 10 diffraction maxima, by angle, 2θ = 10–80°:
(3 1 2), 2θ = 28.31°, d 3.152, I 1000
(0 2 2), 2θ = 29.41°, d 3.037, I 766
(4 0 2), 2θ = 30.02°, d 2.976, I 437
(4 2 0), 2θ = 30.19°, d 2.960, I 507
(5 1 1), 2θ = 30.94°, d 2.890, I 656
(4 2 1), 2θ = 31.96°, d 2.800, I 821
(1 1 3), 2θ = 33.29°, d 2.692, I 710
(1 3 1), 2θ = 33.59°, d 2.668, I 704
(5 3 1), 2θ = 43.34°, d 2.088, I 412
(7 3 3), 2θ = 60.38°, d 1.533, I 361

Record 3
CaLaGa2Ir2: simulated powder XRD pattern (Cu Kα, 1.54184 Å), based on a GGA-PBE-relaxed structure.

Crystal structure
a = 4.3508 Å, b = 4.3508 Å, c = 7.9159 Å
α = 90.00°, β = 90.00°, γ = 120.00°
Space group P-3m1 (No. 164)
Asymmetric unit:
Ca  0.0000  0.0000  0.0000 [1 per cell]
La  0.0000  0.0000  0.5000 [1 per cell]
Ga  0.3333  0.6667  0.7646 [2 per cell]
Ir  0.3333  0.6667  0.2533 [2 per cell]

Largest 10 diffraction maxima, by angle, 2θ = 10–80°:
(0 0 2), 2θ = 22.46°, d 3.958, I 256
(1 0 1), 2θ = 26.19°, d 3.402, I 444
(1 0 2), 2θ = 32.82°, d 2.729, I 1000
(1 1 0), 2θ = 41.51°, d 2.175, I 666
(0 1 3), 2θ = 41.79°, d 2.161, I 131
(0 0 4), 2θ = 45.85°, d 1.979, I 162
(1 1 2), 2θ = 47.70°, d 1.906, I 216
(0 2 2), 2θ = 53.90°, d 1.701, I 242
(1 1 4), 2θ = 63.56°, d 1.464, I 363
(2 1 2), 2θ = 70.24°, d 1.340, I 216